Theoretical powder XRD pattern
Compound: Co6O5F7
Radiation: copper Kα
Structure: a DFT-relaxed cell (PBE+U, Alexandria)
Intensities are scaled so that the largest is 1000.

Atomic structure:
```
Co6O5F7
1.0
4.600 0.000 0.000
0.491 5.533 0.000
0.356 0.584 7.632
Co O F
6 5 7
Cartesian
0.000 0.000 0.000
0.401 2.148 4.942
2.410 2.590 0.038
2.405 1.044 2.471
2.887 4.944 5.085
4.920 3.868 2.631
1.226 2.287 3.271
1.190 0.634 5.785
1.550 1.179 0.759
4.103 3.709 4.308
4.157 5.419 1.785
1.285 3.934 0.913
1.830 3.430 5.947
1.881 5.012 3.351
3.369 0.936 4.200
3.831 4.815 6.904
3.579 2.642 1.642
4.092 2.124 6.668
```

Top 12 peaks for 10° ≤ 2θ ≤ 80°, in order of falling intensity:
| 2θ (°) | I/Imax | hkl |
| --- | --- | --- |
| 25.99 | 1000 | 1 1 1 |
| 28.66 | 814 | -1 1 1 |
| 35.26 | 470 | 1 1 -2 |
| 52.04 | 310 | 2 2 -1 |
| 35.77 | 258 | 1 -1 2 |
| 35.44 | 235 | 0 2 -1 |
| 52.72 | 174 | 2 0 3 |
| 53.46 | 174 | 2 2 2 |
| 61.13 | 149 | 0 2 -4 |
| 52.14 | 148 | 1 1 4 |
| 69.33 | 140 | 3 -1 2 |
| 68.42 | 135 | 3 1 -2 |